(1)
This entry pairs a crystal structure of HoThB12 with its simulated powder X-ray diffraction pattern. Radiation: Cu Kα (λ = 1.5418 Å). Structure: a cell relaxed with GGA-PBE.

The 12 most intense peaks (15 to 90 degrees two-theta), sorted by position:
index	d_spacing	2θ/deg	Rel. int.
1 0 0	4.101	21.67	76.6
1 1 0	2.900	30.83	100.0
1 1 2	2.368	38.00	41.8
2 0 0	2.051	44.16	21.2
2 1 0	1.834	49.71	51.6
2 1 2	1.674	54.83	31.0
2 2 0	1.450	64.23	11.0
2 2 2	1.367	68.65	28.1
3 1 0	1.297	72.94	19.9
3 1 2	1.237	77.13	13.8
3 2 0	1.138	85.33	9.7
3 2 2	1.096	89.38	19.8

Structural model:
```
data_HoThB12
_chemical_formula_sum 'Ho1 Th1 B12'
_cell_length_a 4.1007
_cell_length_b 4.1007
_cell_length_c 8.2061
_cell_angle_alpha 90.00
_cell_angle_beta 90.00
_cell_angle_gamma 90.00
_space_group_name_H-M_alt 'P 4/m m m'
_space_group_IT_number 123
_space_group_name_Hall '-P 4 2'
loop_
_atom_site_label
_atom_site_type_symbol
_atom_site_fract_x
_atom_site_fract_y
_atom_site_fract_z
Ho1 Ho 0.0000 0.0000 0.0000
Th1 Th 0.0000 0.0000 0.5000
B1 B 0.1979 0.5000 0.2484
B2 B 0.5000 0.5000 0.0986
B3 B 0.5000 0.5000 0.4005
```

(2)
This entry pairs a crystal structure of KRb2H6Os with its simulated powder X-ray diffraction pattern. Radiation: Cu Kα (λ = 1.5418 Å). Structure: a cell relaxed with GGA-PBE.

The 12 most intense peaks (15 to 90 degrees two-theta), sorted by position:
index	d_spacing	2θ/deg	Rel. int.
1 1 1	4.982	17.80	29.4
2 2 0	3.051	29.27	100.0
3 1 1	2.602	34.47	17.1
4 0 0	2.157	41.87	19.4
3 3 1	1.980	45.83	7.8
4 2 2	1.762	51.91	39.4
5 1 1	1.661	55.32	6.5
4 4 0	1.526	60.71	12.6
5 3 1	1.459	63.81	6.4
6 2 0	1.364	68.80	17.1
6 4 2	1.153	83.90	20.1
5 5 3	1.123	86.66	4.3

Structural model:
```
data_KRb2H6Os
_chemical_formula_sum 'K4 Rb8 H24 Os4'
_cell_length_a 8.6296
_cell_length_b 8.6296
_cell_length_c 8.6296
_cell_angle_alpha 90.00
_cell_angle_beta 90.00
_cell_angle_gamma 90.00
_space_group_name_H-M_alt 'F m -3 m'
_space_group_IT_number 225
_space_group_name_Hall '-F 4 2 3'
loop_
_atom_site_label
_atom_site_type_symbol
_atom_site_fract_x
_atom_site_fract_y
_atom_site_fract_z
K1 K 0.0000 0.0000 0.0000
Rb1 Rb 0.2500 0.2500 0.2500
H1 H 0.0000 0.0000 0.2989
Os1 Os 0.0000 0.0000 0.5000
```

(3)
This entry pairs a crystal structure of Na4Y2Br9 with its simulated powder X-ray diffraction pattern. Radiation: Cu Kα (λ = 1.5418 Å). Structure: a cell relaxed with GGA-PBE.

The 12 most intense peaks (15 to 90 degrees two-theta), sorted by position:
index	d_spacing	2θ/deg	Rel. int.
1 1 2	5.425	16.34	12.9
0 0 6	3.316	26.89	9.8
2 1 -3	3.255	27.40	100.0
1 2 6	2.481	36.20	23.3
2 1 -6	2.479	36.24	23.3
3 3 0	2.157	41.88	37.4
1 2 -9	1.902	47.81	22.2
3 0 -6	1.809	50.46	6.9
2 4 -3	1.798	50.77	15.4
4 2 -6	1.627	56.56	7.8
5 1 -3	1.381	67.85	10.2
3 0 -12	1.315	71.81	8.3

Structural model:
```
data_Na4Y2Br9
_chemical_formula_sum 'Na8 Y4 Br18'
_cell_length_a 7.4694
_cell_length_b 7.4734
_cell_length_c 19.8957
_cell_angle_alpha 89.90
_cell_angle_beta 89.95
_cell_angle_gamma 60.03
_space_group_name_H-M_alt 'P -1'
_space_group_IT_number 2
_space_group_name_Hall '-P 1'
loop_
_atom_site_label
_atom_site_type_symbol
_atom_site_fract_x
_atom_site_fract_y
_atom_site_fract_z
Na1 Na 0.1653 0.1672 0.1738
Na2 Na 0.1662 0.1657 0.9830
Na3 Na 0.1671 0.1662 0.4820
Na4 Na 0.1682 0.1657 0.6748
Y1 Y 0.4990 0.5016 0.1616
Y2 Y 0.4997 0.4992 0.3386
Br1 Br 0.1628 0.5243 0.4131
Br2 Br 0.1647 0.8118 0.9126
Br3 Br 0.1862 0.4785 0.0871
Br4 Br 0.1873 0.8379 0.5873
Br5 Br 0.1898 0.5002 0.7499
Br6 Br 0.1897 0.8111 0.2502
Br7 Br 0.4756 0.1890 0.5870
Br8 Br 0.4759 0.8374 0.0866
Br9 Br 0.4976 0.1909 0.2499
```

(4)
This entry pairs a crystal structure of Ta2RuAu2 with its simulated powder X-ray diffraction pattern. Radiation: Cu Kα (λ = 1.5418 Å). Structure: a cell relaxed with GGA-PBE.

The 12 most intense peaks (15 to 90 degrees two-theta), sorted by position:
index	d_spacing	2θ/deg	Rel. int.
1 0 1	3.654	24.36	36.5
1 0 3	2.878	31.08	18.0
1 1 2	2.490	36.07	100.0
0 0 6	2.201	41.00	17.7
1 0 5	2.169	41.63	47.4
1 1 4	2.085	43.40	53.2
2 0 0	1.901	47.84	47.0
2 0 6	1.439	64.79	18.8
2 1 5	1.430	65.25	25.3
1 1 10	1.185	81.13	20.4
3 1 2	1.183	81.33	19.6
3 1 4	1.130	86.05	15.9

Structural model:
```
data_Ta2RuAu2
_chemical_formula_sum 'Ta4 Ru2 Au4'
_cell_length_a 3.8026
_cell_length_b 3.8026
_cell_length_c 13.2068
_cell_angle_alpha 90.00
_cell_angle_beta 90.00
_cell_angle_gamma 90.00
_space_group_name_H-M_alt 'I 4/m m m'
_space_group_IT_number 139
_space_group_name_Hall '-I 4 2'
loop_
_atom_site_label
_atom_site_type_symbol
_atom_site_fract_x
_atom_site_fract_y
_atom_site_fract_z
Ta1 Ta 0.0000 0.5000 0.2500
Ru1 Ru 0.0000 0.0000 0.0000
Au1 Au 0.0000 0.0000 0.4026
```

(5)
This entry pairs a crystal structure of LiAcPrLu with its simulated powder X-ray diffraction pattern. Radiation: Cu Kα (λ = 1.5418 Å). Structure: a cell relaxed with GGA-PBE.

The 12 most intense peaks (15 to 90 degrees two-theta), sorted by position:
index	d_spacing	2θ/deg	Rel. int.
1 1 1	4.669	19.01	26.1
2 0 0	4.043	21.98	13.8
2 2 0	2.859	31.29	100.0
3 1 1	2.438	36.87	15.3
4 0 0	2.022	44.83	18.8
3 3 1	1.855	49.11	6.9
4 2 0	1.808	50.47	6.2
4 2 2	1.651	55.68	40.0
5 1 1	1.556	59.39	5.2
4 4 0	1.430	65.27	12.4
5 3 1	1.367	68.67	5.1
6 2 0	1.279	74.16	17.2

Structural model:
```
data_LiAcPrLu
_chemical_formula_sum 'Li4 Ac4 Pr4 Lu4'
_cell_length_a 8.0865
_cell_length_b 8.0865
_cell_length_c 8.0865
_cell_angle_alpha 90.00
_cell_angle_beta 90.00
_cell_angle_gamma 90.00
_space_group_name_H-M_alt 'F -4 3 m'
_space_group_IT_number 216
_space_group_name_Hall 'F -4 2 3'
loop_
_atom_site_label
_atom_site_type_symbol
_atom_site_fract_x
_atom_site_fract_y
_atom_site_fract_z
Li1 Li 0.0000 0.0000 0.0000
Ac1 Ac 0.2500 0.2500 0.7500
Pr1 Pr 0.2500 0.2500 0.2500
Lu1 Lu 0.0000 0.0000 0.5000
```

(6)
This entry pairs a crystal structure of LaPm2Sn4 with its simulated powder X-ray diffraction pattern. Radiation: Cu Kα (λ = 1.5418 Å). Structure: a cell relaxed with GGA-PBE.

The 12 most intense peaks (15 to 90 degrees two-theta), sorted by position:
index	d_spacing	2θ/deg	Rel. int.
1 0 3	3.161	28.24	100.0
3 0 1	2.937	30.43	82.1
3 1 0	2.913	30.70	67.6
2 1 3	2.606	34.41	60.4
3 1 2	2.523	35.59	76.7
3 2 1	2.477	36.27	69.9
3 2 3	2.035	44.53	28.6
2 2 4	1.995	45.47	30.8
4 2 2	1.907	47.69	34.1
4 1 5	1.498	61.96	38.7
6 0 2	1.469	63.32	29.1
2 1 7	1.361	69.01	26.7

Structural model:
```
data_LaPm2Sn4
_chemical_formula_sum 'La4 Pm8 Sn16'
_cell_length_a 9.2108
_cell_length_b 9.2108
_cell_length_c 10.0946
_cell_angle_alpha 90.00
_cell_angle_beta 90.00
_cell_angle_gamma 90.00
_space_group_name_H-M_alt 'I -4 2 d'
_space_group_IT_number 122
_space_group_name_Hall 'I -4 2bw'
loop_
_atom_site_label
_atom_site_type_symbol
_atom_site_fract_x
_atom_site_fract_y
_atom_site_fract_z
La1 La 0.0000 0.0000 0.0000
Pm1 Pm 0.1369 0.7500 0.6250
Sn1 Sn 0.0951 0.6642 0.9412
```

(7)
This entry pairs a crystal structure of Tm6BPb3 with its simulated powder X-ray diffraction pattern. Radiation: Cu Kα (λ = 1.5418 Å). Structure: a cell relaxed with GGA-PBE.

The 12 most intense peaks (15 to 90 degrees two-theta), sorted by position:
index	d_spacing	2θ/deg	Rel. int.
3 1 -1	3.320	26.86	20.6
0 2 1	3.081	28.98	45.8
4 0 -1	2.913	30.69	100.0
2 2 -1	2.860	31.27	39.6
2 0 2	2.648	33.85	54.0
2 2 1	2.560	35.05	90.0
2 0 -3	2.446	36.74	95.4
4 2 -2	2.072	43.69	19.8
0 4 0	1.712	53.52	20.8
6 2 0	1.636	56.24	27.2
4 4 -1	1.476	62.98	25.6
4 2 3	1.437	64.90	36.7

Structural model:
```
data_Tm6BPb3
_chemical_formula_sum 'Tm12 B2 Pb6'
_cell_length_a 11.7071
_cell_length_b 6.8488
_cell_length_c 7.4002
_cell_angle_alpha 90.00
_cell_angle_beta 107.41
_cell_angle_gamma 90.00
_space_group_name_H-M_alt 'C 1 2/m 1'
_space_group_IT_number 12
_space_group_name_Hall '-C 2y'
loop_
_atom_site_label
_atom_site_type_symbol
_atom_site_fract_x
_atom_site_fract_y
_atom_site_fract_z
Tm1 Tm 0.0992 0.2494 0.3643
Tm2 Tm 0.1737 0.5000 0.8095
B1 B 0.0000 0.5000 0.5000
Pb1 Pb 0.0000 0.0000 0.0000
Pb2 Pb 0.1839 0.0000 0.7405
```

(8)
This entry pairs a crystal structure of Rb2CeAu2Se4 with its simulated powder X-ray diffraction pattern. Radiation: Cu Kα (λ = 1.5418 Å). Structure: a cell relaxed with GGA-PBE.

The 12 most intense peaks (15 to 90 degrees two-theta), sorted by position:
index	d_spacing	2θ/deg	Rel. int.
0 0 2	3.898	22.81	26.0
3 1 -1	3.257	27.38	93.1
1 1 -2	2.979	29.99	38.4
3 1 -2	2.808	31.87	100.0
3 1 1	2.792	32.05	84.9
6 0 -1	2.604	34.44	40.9
6 0 0	2.464	36.46	43.7
3 1 -3	2.281	39.51	38.4
3 1 2	2.267	39.76	46.6
0 2 0	2.158	41.87	51.9
3 1 3	1.845	49.39	34.7
6 2 0	1.623	56.71	24.3

Structural model:
```
data_Rb2CeAu2Se4
_chemical_formula_sum 'Rb4 Ce2 Au4 Se8'
_cell_length_a 15.6345
_cell_length_b 4.3152
_cell_length_c 8.2435
_cell_angle_alpha 90.00
_cell_angle_beta 108.97
_cell_angle_gamma 90.00
_space_group_name_H-M_alt 'C 1 2/m 1'
_space_group_IT_number 12
_space_group_name_Hall '-C 2y'
loop_
_atom_site_label
_atom_site_type_symbol
_atom_site_fract_x
_atom_site_fract_y
_atom_site_fract_z
Rb1 Rb 0.1352 0.0000 0.0790
Ce1 Ce 0.0000 0.0000 0.5000
Au1 Au 0.1698 0.5000 0.4945
Se1 Se 0.0101 0.5000 0.2626
Se2 Se 0.1941 0.0000 0.6891
```

(9)
This entry pairs a crystal structure of Th2BiTe2N with its simulated powder X-ray diffraction pattern. Radiation: Cu Kα (λ = 1.5418 Å). Structure: a cell relaxed with GGA-PBE.

The 12 most intense peaks (15 to 90 degrees two-theta), sorted by position:
index	d_spacing	2θ/deg	Rel. int.
1 3 0	4.083	21.77	53.2
1 2 1	4.033	22.04	28.7
2 2 0	3.608	24.67	35.0
0 0 2	3.044	29.34	27.8
1 4 1	2.855	31.33	100.0
1 1 2	2.805	31.91	79.2
2 3 1	2.781	32.18	93.0
3 1 0	2.752	32.54	74.7
2 0 2	2.467	36.42	40.7
0 4 2	2.297	39.22	31.1
3 3 2	1.887	48.22	29.0
4 0 2	1.732	52.86	40.0

Structural model:
```
data_Th2BiTe2N
_chemical_formula_sum 'Th8 Bi4 Te8 N4'
_cell_length_a 8.4204
_cell_length_b 14.0060
_cell_length_c 6.0876
_cell_angle_alpha 90.00
_cell_angle_beta 90.00
_cell_angle_gamma 90.00
_space_group_name_H-M_alt 'I b a m'
_space_group_IT_number 72
_space_group_name_Hall '-I 2 2c'
loop_
_atom_site_label
_atom_site_type_symbol
_atom_site_fract_x
_atom_site_fract_y
_atom_site_fract_z
Th1 Th 0.1494 0.0933 0.0000
Bi1 Bi 0.0000 0.5000 0.2500
Te1 Te 0.1909 0.1897 0.5000
N1 N 0.0000 0.0000 0.2500
```

(10)
This entry pairs a crystal structure of NdGeHIr2 with its simulated powder X-ray diffraction pattern. Radiation: Cu Kα (λ = 1.5418 Å). Structure: a cell relaxed with GGA-PBE.

The 12 most intense peaks (15 to 90 degrees two-theta), sorted by position:
index	d_spacing	2θ/deg	Rel. int.
0 2 0	5.435	16.31	24.1
1 3 0	2.687	33.35	92.7
1 1 2	2.614	34.31	100.0
0 4 1	2.546	35.26	41.4
1 3 1	2.520	35.62	43.0
0 2 3	2.215	40.74	44.5
0 4 2	2.177	41.48	21.4
1 3 2	2.161	41.80	42.3
1 1 3	2.038	44.46	45.7
2 0 0	2.003	45.28	44.4
1 5 3	1.501	61.82	31.5
2 2 3	1.485	62.53	25.5

Structural model:
```
data_NdGeHIr2
_chemical_formula_sum 'Nd4 Ge4 H4 Ir8'
_cell_length_a 4.0050
_cell_length_b 10.8694
_cell_length_c 7.2750
_cell_angle_alpha 90.00
_cell_angle_beta 90.00
_cell_angle_gamma 90.00
_space_group_name_H-M_alt 'C m c m'
_space_group_IT_number 63
_space_group_name_Hall '-C 2c 2'
loop_
_atom_site_label
_atom_site_type_symbol
_atom_site_fract_x
_atom_site_fract_y
_atom_site_fract_z
Nd1 Nd 0.0000 0.0584 0.2500
Ge1 Ge 0.0000 0.2229 0.7500
H1 H 0.0000 0.5000 0.0000
Ir1 Ir 0.0000 0.3402 0.0546
```

(11)
This entry pairs a crystal structure of RbTlO with its simulated powder X-ray diffraction pattern. Radiation: Cu Kα (λ = 1.5418 Å). Structure: a cell relaxed with GGA-PBE.

The 12 most intense peaks (15 to 90 degrees two-theta), sorted by position:
index	d_spacing	2θ/deg	Rel. int.
1 1 0	5.130	17.29	42.0
1 1 -1	4.414	20.12	33.0
2 0 0	3.494	25.50	62.9
0 2 1	3.240	27.53	99.3
1 0 -2	3.202	27.87	58.9
1 2 -1	3.103	28.77	30.6
1 2 1	2.799	31.97	72.8
2 0 -2	2.719	32.94	23.9
1 0 2	2.625	34.16	59.9
2 2 -1	2.553	35.15	100.0
1 2 -3	1.884	48.31	41.4
3 2 1	1.781	51.30	31.3

Structural model:
```
data_RbTlO
_chemical_formula_sum 'Rb4 Tl4 O4'
_cell_length_a 7.2393
_cell_length_b 7.5563
_cell_length_c 6.5248
_cell_angle_alpha 90.00
_cell_angle_beta 105.16
_cell_angle_gamma 90.00
_space_group_name_H-M_alt 'P 1 21/c 1'
_space_group_IT_number 14
_space_group_name_Hall '-P 2ybc'
loop_
_atom_site_label
_atom_site_type_symbol
_atom_site_fract_x
_atom_site_fract_y
_atom_site_fract_z
Rb1 Rb 0.2419 0.1084 0.1382
Tl1 Tl 0.1879 0.6284 0.1459
O1 O 0.9997 0.1293 0.7122
```

(12)
This entry pairs a crystal structure of NaMo3Se4 with its simulated powder X-ray diffraction pattern. Radiation: Cu Kα (λ = 1.5418 Å). Structure: a cell relaxed with GGA-PBE.

The 12 most intense peaks (15 to 90 degrees two-theta), sorted by position:
index	d_spacing	2θ/deg	Rel. int.
0 2 1	3.151	28.32	42.0
1 -2 2	2.365	38.05	49.4
1 1 3	2.236	40.33	47.9
1 3 1	2.220	40.65	86.6
-1 2 2	2.216	40.71	54.1
3 -1 1	2.105	42.96	82.9
1 -3 1	2.090	43.29	54.7
1 1 -3	2.043	44.35	84.7
2 1 3	2.039	44.44	100.0
3 2 0	2.011	45.09	63.6
1 -3 2	1.878	48.48	44.5
-2 2 2	1.861	48.96	53.1

Structural model:
```
data_NaMo3Se4
_chemical_formula_sum 'Na2 Mo6 Se8'
_cell_length_a 6.9676
_cell_length_b 7.0935
_cell_length_c 7.1066
_cell_angle_alpha 88.90
_cell_angle_beta 81.00
_cell_angle_gamma 84.13
_space_group_name_H-M_alt 'P -1'
_space_group_IT_number 2
_space_group_name_Hall '-P 1'
loop_
_atom_site_label
_atom_site_type_symbol
_atom_site_fract_x
_atom_site_fract_y
_atom_site_fract_z
Na1 Na 0.2187 0.0794 0.4868
Mo1 Mo 0.2384 0.5924 0.9557
Mo2 Mo 0.3974 0.4418 0.2500
Mo3 Mo 0.4650 0.2498 0.9145
Se1 Se 0.1242 0.2775 0.1221
Se2 Se 0.1820 0.7613 0.2722
Se3 Se 0.3027 0.4153 0.6432
Se4 Se 0.3912 0.8889 0.7882
```